(1)
This entry pairs a crystal structure of CeBC2 with its calculated X-ray powder pattern. Radiation: Cu Kα. Structure: a cell relaxed with GGA-PBE.
Peak positions follow from Bragg's law for the DFT cell and can differ from measured ones.

Most intense lines, 10° ≤ 2θ ≤ 90°, in order of rising 2θ:
(0 2 1), 2θ 23.3, I 1000
(1 1 0), 2θ 31.3, I 265
(0 0 2), 2θ 31.6, I 385
(0 4 0), 2θ 34.6, I 381
(1 1 1), 2θ 35.2, I 563
(1 3 0), 2θ 40.0, I 180
(1 3 1), 2θ 43.2, I 327
(1 1 2), 2θ 45.1, I 276
(0 4 2), 2θ 47.5, I 233
(0 2 3), 2θ 51.5, I 193
(1 3 2), 2θ 51.8, I 211
(1 5 1), 2θ 56.5, I 146

Cell and atoms:
```
data_CeBC2
_cell_length_a 2.9703
_cell_length_b 10.3591
_cell_length_c 5.6712
_cell_angle_alpha 90.00
_cell_angle_beta 90.00
_cell_angle_gamma 90.00
_space_group_name_H-M_alt 'C m c m'
_space_group_IT_number 63
_space_group_name_Hall '-C 2c 2'
loop_
_atom_site_label
_atom_site_type_symbol
_atom_site_fract_x
_atom_site_fract_y
_atom_site_fract_z
_atom_site_occupancy
Ce1 Ce 0.0000 0.1270 0.2500 1
B1 B 0.0000 0.1578 0.7500 1
C1 C 0.0000 0.3843 0.1214 1
```

=====

(2)
This entry pairs a crystal structure of HoGaO3 with its calculated X-ray powder pattern. Radiation: Cu Kα. Structure: a cell relaxed with GGA-PBE.
Peak positions follow from Bragg's law for the DFT cell and can differ from measured ones.

Most intense lines, 10° ≤ 2θ ≤ 90°, in order of rising 2θ:
(0 0 2), 2θ 15.2, I 258
(1 1 0), 2θ 29.3, I 377
(1 1 1), 2θ 30.3, I 273
(0 0 4), 2θ 30.6, I 317
(1 1 2), 2θ 33.2, I 1000
(1 1 4), 2θ 42.9, I 283
(1 0 6), 2θ 49.9, I 77
(3 0 0), 2θ 52.0, I 367
(1 1 6), 2θ 56.0, I 201
(3 0 4), 2θ 61.5, I 263
(2 2 2), 2θ 63.1, I 168
(4 1 2), 2θ 86.0, I 149

Cell and atoms:
```
data_HoGaO3
_cell_length_a 6.0941
_cell_length_b 6.0941
_cell_length_c 11.6946
_cell_angle_alpha 90.00
_cell_angle_beta 90.00
_cell_angle_gamma 120.00
_space_group_name_H-M_alt 'P 63 c m'
_space_group_IT_number 185
_space_group_name_Hall 'P 6c -2'
loop_
_atom_site_label
_atom_site_type_symbol
_atom_site_fract_x
_atom_site_fract_y
_atom_site_fract_z
_atom_site_occupancy
Ho1 Ho 0.0000 0.0000 0.0000 1
Ho2 Ho 0.3333 0.6667 0.4586 1
Ga1 Ga 0.0000 0.3340 0.2256 1
O1 O 0.0000 0.0000 0.2025 1
O2 O 0.0000 0.3068 0.3889 1
O3 O 0.0000 0.3597 0.0636 1
O4 O 0.3333 0.6667 0.2453 1
```

=====

(3)
This entry pairs a crystal structure of Mg5Au2 with its calculated X-ray powder pattern. Radiation: Cu Kα. Structure: a cell relaxed with GGA-PBE.
Peak positions follow from Bragg's law for the DFT cell and can differ from measured ones.

Most intense lines, 10° ≤ 2θ ≤ 90°, in order of rising 2θ:
(1 2 1), 2θ 23.7, I 1000
(2 0 0), 2θ 25.8, I 175
(0 4 0), 2θ 26.4, I 180
(0 0 2), 2θ 29.9, I 152
(2 4 0), 2θ 37.2, I 279
(2 0 2), 2θ 39.9, I 245
(0 4 2), 2θ 40.3, I 245
(3 2 1), 2θ 44.2, I 246
(1 6 1), 2θ 45.0, I 230
(2 4 2), 2θ 48.4, I 129
(1 2 3), 2θ 49.4, I 145
(3 2 3), 2θ 63.2, I 111

Cell and atoms:
```
data_Mg5Au2
_cell_length_a 6.9135
_cell_length_b 13.5055
_cell_length_c 5.9827
_cell_angle_alpha 90.00
_cell_angle_beta 90.00
_cell_angle_gamma 90.00
_space_group_name_H-M_alt 'I b a m'
_space_group_IT_number 72
_space_group_name_Hall '-I 2 2c'
loop_
_atom_site_label
_atom_site_type_symbol
_atom_site_fract_x
_atom_site_fract_y
_atom_site_fract_z
_atom_site_occupancy
Mg1 Mg 0.0000 0.0000 0.2500 1
Mg2 Mg 0.0000 0.2345 0.2500 1
Mg3 Mg 0.1538 0.4171 0.0000 1
Au1 Au 0.2378 0.3773 0.5000 1
```

=====

(4)
This entry pairs a crystal structure of LaTl4Br7 with its calculated X-ray powder pattern. Radiation: Cu Kα. Structure: a cell relaxed with GGA-PBE.
Peak positions follow from Bragg's law for the DFT cell and can differ from measured ones.

Most intense lines, 10° ≤ 2θ ≤ 90°, in order of rising 2θ:
(3 1 0), 2θ 19.9, I 364
(1 1 1), 2θ 20.5, I 367
(2 0 -2), 2θ 22.4, I 466
(4 0 1), 2θ 23.2, I 377
(6 0 -1), 2θ 24.6, I 833
(3 1 1), 2θ 25.0, I 463
(3 1 -2), 2θ 27.9, I 853
(1 1 2), 2θ 29.5, I 623
(0 2 0), 2θ 31.0, I 1000
(7 1 0), 2θ 33.6, I 451
(6 2 -1), 2θ 40.0, I 493
(9 1 -3), 2θ 47.2, I 362

Cell and atoms:
```
data_LaTl4Br7
_cell_length_a 22.0485
_cell_length_b 5.7608
_cell_length_c 7.9461
_cell_angle_alpha 90.00
_cell_angle_beta 106.90
_cell_angle_gamma 90.00
_space_group_name_H-M_alt 'C 1 2/m 1'
_space_group_IT_number 12
_space_group_name_Hall '-C 2y'
loop_
_atom_site_label
_atom_site_type_symbol
_atom_site_fract_x
_atom_site_fract_y
_atom_site_fract_z
_atom_site_occupancy
La1 La 0.0000 0.0000 0.0000 1
Tl1 Tl 0.0855 0.5000 0.6358 1
Tl2 Tl 0.2030 0.5000 0.2477 1
Br1 Br 0.0000 0.5000 0.0000 1
Br2 Br 0.0774 0.0000 0.3674 1
Br3 Br 0.1175 0.0000 0.8936 1
Br4 Br 0.2239 0.5000 0.6595 1
```

=====

(5)
This entry pairs a crystal structure of Rb2MgSF6 with its calculated X-ray powder pattern. Radiation: Cu Kα. Structure: a cell relaxed with GGA-PBE.
Peak positions follow from Bragg's law for the DFT cell and can differ from measured ones.

Most intense lines, 10° ≤ 2θ ≤ 90°, in order of rising 2θ:
(1 1 0), 2θ 19.3, I 153
(2 0 0), 2θ 27.5, I 628
(1 1 2), 2θ 29.7, I 1000
(2 0 2), 2θ 35.7, I 775
(2 2 0), 2θ 39.3, I 655
(0 0 4), 2θ 45.6, I 278
(3 1 2), 2θ 50.0, I 437
(2 0 4), 2θ 54.0, I 175
(4 0 0), 2θ 56.7, I 185
(2 2 4), 2θ 61.7, I 329
(3 3 2), 2θ 65.3, I 179
(4 2 2), 2θ 68.9, I 146

Cell and atoms:
```
data_Rb2MgSF6
_cell_length_a 6.4903
_cell_length_b 6.4903
_cell_length_c 7.9661
_cell_angle_alpha 90.00
_cell_angle_beta 90.00
_cell_angle_gamma 90.00
_space_group_name_H-M_alt 'I 4/m m m'
_space_group_IT_number 139
_space_group_name_Hall '-I 4 2'
loop_
_atom_site_label
_atom_site_type_symbol
_atom_site_fract_x
_atom_site_fract_y
_atom_site_fract_z
_atom_site_occupancy
Rb1 Rb 0.0000 0.5000 0.2500 1
Mg1 Mg 0.0000 0.0000 0.0000 1
S1 S 0.0000 0.0000 0.5000 1
F1 F 0.0000 0.0000 0.2729 1
F2 F 0.2143 0.2143 0.0000 1
```

=====

(6)
This entry pairs a crystal structure of BeZnAs2 with its calculated X-ray powder pattern. Radiation: Cu Kα. Structure: a cell relaxed with GGA-PBE.
Peak positions follow from Bragg's law for the DFT cell and can differ from measured ones.

Most intense lines, 10° ≤ 2θ ≤ 90°, in order of rising 2θ:
(1 0 1), 2θ 18.1, I 72
(1 1 2), 2θ 28.6, I 1000
(1 0 3), 2θ 30.8, I 122
(2 1 1), 2θ 37.1, I 194
(2 2 0), 2θ 46.0, I 212
(2 0 4), 2θ 48.3, I 398
(3 0 1), 2θ 49.9, I 71
(3 1 2), 2θ 55.1, I 252
(1 1 6), 2θ 59.1, I 139
(3 2 3), 2θ 66.4, I 66
(3 1 6), 2θ 78.0, I 93
(4 2 4), 2θ 86.9, I 102

Cell and atoms:
```
data_BeZnAs2
_cell_length_a 5.5770
_cell_length_b 5.5770
_cell_length_c 10.2108
_cell_angle_alpha 90.00
_cell_angle_beta 90.00
_cell_angle_gamma 90.00
_space_group_name_H-M_alt 'I -4 2 d'
_space_group_IT_number 122
_space_group_name_Hall 'I -4 2bw'
loop_
_atom_site_label
_atom_site_type_symbol
_atom_site_fract_x
_atom_site_fract_y
_atom_site_fract_z
_atom_site_occupancy
Be1 Be 0.0000 0.0000 0.0000 1
Zn1 Zn 0.0000 0.0000 0.5000 1
As1 As 0.2108 0.2500 0.1250 1
```

=====

(7)
This entry pairs a crystal structure of V2GaMo3 with its calculated X-ray powder pattern. Radiation: Cu Kα. Structure: a cell relaxed with GGA-PBE.
Peak positions follow from Bragg's law for the DFT cell and can differ from measured ones.

Most intense lines, 10° ≤ 2θ ≤ 90°, in order of rising 2θ:
(0 1 0), 2θ 14.4, I 198
(2 1 1), 2θ 40.9, I 1000
(1 3 2), 2θ 41.2, I 978
(1 2 -1), 2θ 41.4, I 951
(2 2 4), 2θ 59.3, I 315
(0 4 0), 2θ 60.4, I 145
(1 4 5), 2θ 74.5, I 79
(3 4 3), 2θ 74.8, I 158
(3 3 0), 2θ 74.9, I 302
(2 5 1), 2θ 75.5, I 148
(2 6 4), 2θ 89.4, I 101
(2 4 -2), 2θ 89.9, I 95

Cell and atoms:
```
data_V2GaMo3
_cell_length_a 4.4065
_cell_length_b 6.8908
_cell_length_c 6.9795
_cell_angle_alpha 65.80
_cell_angle_beta 71.60
_cell_angle_gamma 71.41
_space_group_name_H-M_alt 'P -1'
_space_group_IT_number 2
_space_group_name_Hall '-P 1'
loop_
_atom_site_label
_atom_site_type_symbol
_atom_site_fract_x
_atom_site_fract_y
_atom_site_fract_z
_atom_site_occupancy
V1 V 0.0392 0.1337 0.2892 1
V2 V 0.2895 0.8671 0.0542 1
Ga1 Ga 0.3730 0.1127 0.6409 1
Mo1 Mo 0.1245 0.3716 0.8800 1
Mo2 Mo 0.2072 0.6230 0.4622 1
Mo3 Mo 0.4626 0.3674 0.2084 1
```

=====

(8)
This entry pairs a crystal structure of BaSm2S4 with its calculated X-ray powder pattern. Radiation: Cu Kα. Structure: a cell relaxed with GGA-PBE.
Peak positions follow from Bragg's law for the DFT cell and can differ from measured ones.

Most intense lines, 10° ≤ 2θ ≤ 90°, in order of rising 2θ:
(0 0 4), 2θ 24.0, I 447
(3 0 2), 2θ 24.6, I 1000
(1 1 2), 2θ 25.6, I 668
(2 1 0), 2θ 25.8, I 346
(1 1 3), 2θ 29.0, I 350
(2 1 4), 2θ 35.6, I 545
(4 1 0), 2θ 36.2, I 287
(2 0 6), 2θ 39.2, I 213
(0 2 0), 2θ 43.6, I 272
(6 0 0), 2θ 43.8, I 402
(5 1 2), 2θ 44.2, I 206
(3 2 2), 2θ 50.8, I 303

Cell and atoms:
```
data_BaSm2S4
_cell_length_a 12.4088
_cell_length_b 4.1477
_cell_length_c 14.8300
_cell_angle_alpha 90.00
_cell_angle_beta 90.00
_cell_angle_gamma 90.00
_space_group_name_H-M_alt 'P n m a'
_space_group_IT_number 62
_space_group_name_Hall '-P 2ac 2n'
loop_
_atom_site_label
_atom_site_type_symbol
_atom_site_fract_x
_atom_site_fract_y
_atom_site_fract_z
_atom_site_occupancy
Ba1 Ba 0.2443 0.2500 0.1601 1
Sm1 Sm 0.0727 0.2500 0.3921 1
Sm2 Sm 0.0772 0.2500 0.8967 1
S1 S 0.0194 0.7500 0.7828 1
S2 S 0.0792 0.2500 0.5789 1
S3 S 0.1282 0.7500 0.0224 1
S4 S 0.2092 0.7500 0.3297 1
```

=====

(9)
This entry pairs a crystal structure of BeZnBr4 with its calculated X-ray powder pattern. Radiation: Cu Kα. Structure: a cell relaxed with GGA-PBE.
Peak positions follow from Bragg's law for the DFT cell and can differ from measured ones.

Most intense lines, 10° ≤ 2θ ≤ 90°, in order of rising 2θ:
(1 0 0), 2θ 12.6, I 142
(0 0 2), 2θ 18.6, I 1000
(2 0 0), 2θ 25.4, I 336
(2 0 2), 2θ 31.7, I 375
(2 2 0), 2θ 36.2, I 337
(0 0 4), 2θ 37.8, I 160
(2 2 2), 2θ 41.0, I 470
(2 0 4), 2θ 46.1, I 129
(4 0 0), 2θ 52.1, I 106
(2 2 4), 2θ 53.3, I 213
(4 0 2), 2θ 55.8, I 171
(4 0 4), 2θ 66.1, I 102

Cell and atoms:
```
data_BeZnBr4
_cell_length_a 7.0242
_cell_length_b 7.0242
_cell_length_c 9.5184
_cell_angle_alpha 90.00
_cell_angle_beta 90.00
_cell_angle_gamma 90.00
_space_group_name_H-M_alt 'P 42/m m c'
_space_group_IT_number 131
_space_group_name_Hall '-P 4c 2'
loop_
_atom_site_label
_atom_site_type_symbol
_atom_site_fract_x
_atom_site_fract_y
_atom_site_fract_z
_atom_site_occupancy
Be1 Be 0.0000 0.5000 0.0000 1
Zn1 Zn 0.0000 0.0000 0.0000 1
Br1 Br 0.2332 0.2675 0.0000 1
```

=====

(10)
This entry pairs a crystal structure of Ce3PaS6 with its calculated X-ray powder pattern. Radiation: Cu Kα. Structure: a cell relaxed with GGA-PBE.
Peak positions follow from Bragg's law for the DFT cell and can differ from measured ones.

Most intense lines, 10° ≤ 2θ ≤ 90°, in order of rising 2θ:
(0 2 2), 2θ 22.0, I 813
(2 0 2), 2θ 25.5, I 1000
(2 2 0), 2θ 27.3, I 299
(0 0 4), 2θ 28.1, I 246
(0 4 0), 2θ 34.3, I 309
(2 2 4), 2θ 39.6, I 579
(2 4 2), 2θ 43.2, I 483
(4 0 0), 2θ 43.4, I 157
(0 2 6), 2θ 46.3, I 152
(2 0 6), 2θ 48.2, I 144
(4 2 2), 2θ 49.2, I 203
(2 4 6), 2θ 60.5, I 147

Cell and atoms:
```
data_Ce3PaS6
_cell_length_a 8.3461
_cell_length_b 10.4659
_cell_length_c 12.6972
_cell_angle_alpha 90.00
_cell_angle_beta 90.00
_cell_angle_gamma 90.00
_space_group_name_H-M_alt 'F m m m'
_space_group_IT_number 69
_space_group_name_Hall '-F 2 2'
loop_
_atom_site_label
_atom_site_type_symbol
_atom_site_fract_x
_atom_site_fract_y
_atom_site_fract_z
_atom_site_occupancy
Ce1 Ce 0.0000 0.0000 0.0000 1
Ce2 Ce 0.2500 0.2500 0.2500 1
Pa1 Pa 0.0000 0.0000 0.5000 1
S1 S 0.0000 0.2457 0.5000 1
S2 S 0.2418 0.0000 0.3636 1
```

=====

(11)
This entry pairs a crystal structure of ZrIn2Pt with its calculated X-ray powder pattern. Radiation: Cu Kα. Structure: a cell relaxed with GGA-PBE.
Peak positions follow from Bragg's law for the DFT cell and can differ from measured ones.

Most intense lines, 10° ≤ 2θ ≤ 90°, in order of rising 2θ:
(0 0 2), 2θ 20.2, I 36
(1 0 1), 2θ 23.0, I 67
(1 1 0), 2θ 29.4, I 30
(1 1 2), 2θ 35.9, I 1000
(1 0 3), 2θ 37.2, I 21
(0 0 4), 2θ 41.1, I 171
(2 0 0), 2θ 42.0, I 322
(2 0 4), 2θ 60.3, I 218
(2 2 0), 2θ 60.9, I 106
(1 1 6), 2θ 71.6, I 130
(3 1 2), 2θ 72.8, I 248
(2 2 4), 2θ 76.2, I 109

Cell and atoms:
```
data_ZrIn2Pt
_cell_length_a 4.3000
_cell_length_b 4.3000
_cell_length_c 8.7784
_cell_angle_alpha 90.00
_cell_angle_beta 90.00
_cell_angle_gamma 90.00
_space_group_name_H-M_alt 'I -4 m 2'
_space_group_IT_number 119
_space_group_name_Hall 'I -4 -2'
loop_
_atom_site_label
_atom_site_type_symbol
_atom_site_fract_x
_atom_site_fract_y
_atom_site_fract_z
_atom_site_occupancy
Zr1 Zr 0.0000 0.0000 0.0000 1
In1 In 0.0000 0.0000 0.5000 1
In2 In 0.0000 0.5000 0.2500 1
Pt1 Pt 0.0000 0.5000 0.7500 1
```

=====

(12)
This entry pairs a crystal structure of LaTm2IO8 with its calculated X-ray powder pattern. Radiation: Cu Kα. Structure: a cell relaxed with GGA-PBE.
Peak positions follow from Bragg's law for the DFT cell and can differ from measured ones.

Most intense lines, 10° ≤ 2θ ≤ 90°, in order of rising 2θ:
(0 2 0), 2θ 25.1, I 526
(2 0 0), 2θ 25.3, I 528
(1 1 2), 2θ 31.2, I 1000
(2 2 0), 2θ 35.9, I 274
(1 3 2), 2θ 48.2, I 368
(3 1 2), 2θ 48.4, I 371
(0 4 0), 2θ 51.5, I 90
(2 4 0), 2θ 58.2, I 95
(0 2 4), 2θ 58.9, I 86
(2 0 4), 2θ 59.0, I 108
(3 3 2), 2θ 61.7, I 207
(2 2 4), 2θ 65.1, I 117

Cell and atoms:
```
data_LaTm2IO8
_cell_length_a 7.0385
_cell_length_b 7.0992
_cell_length_c 6.9952
_cell_angle_alpha 90.00
_cell_angle_beta 90.00
_cell_angle_gamma 90.00
_space_group_name_H-M_alt 'C m m m'
_space_group_IT_number 65
_space_group_name_Hall '-C 2 2'
loop_
_atom_site_label
_atom_site_type_symbol
_atom_site_fract_x
_atom_site_fract_y
_atom_site_fract_z
_atom_site_occupancy
La1 La 0.0000 0.0000 0.0000 1
Tm1 Tm 0.0000 0.5000 0.2494 1
I1 I 0.0000 0.0000 0.5000 1
O1 O 0.0000 0.2694 0.5000 1
O2 O 0.0000 0.3198 0.0000 1
O3 O 0.1862 0.0000 0.3017 1
```

=====

(13)
This entry pairs a crystal structure of RbTe7Au2 with its calculated X-ray powder pattern. Radiation: Cu Kα. Structure: a cell relaxed with GGA-PBE.
Peak positions follow from Bragg's law for the DFT cell and can differ from measured ones.

Most intense lines, 10° ≤ 2θ ≤ 90°, in order of rising 2θ:
(0 0 1), 2θ 17.2, I 827
(1 1 1), 2θ 21.3, I 426
(2 4 0), 2θ 30.3, I 1000
(1 5 1), 2θ 32.1, I 515
(0 0 2), 2θ 34.7, I 580
(2 4 1), 2θ 35.0, I 996
(0 8 0), 2θ 39.4, I 258
(2 6 1), 2θ 41.6, I 439
(0 8 1), 2θ 43.3, I 410
(2 4 2), 2θ 46.7, I 603
(4 0 0), 2θ 47.0, I 239
(4 8 1), 2θ 65.8, I 259

Cell and atoms:
```
data_RbTe7Au2
_cell_length_a 7.7329
_cell_length_b 18.2855
_cell_length_c 5.1643
_cell_angle_alpha 90.00
_cell_angle_beta 90.00
_cell_angle_gamma 90.00
_space_group_name_H-M_alt 'C m m m'
_space_group_IT_number 65
_space_group_name_Hall '-C 2 2'
loop_
_atom_site_label
_atom_site_type_symbol
_atom_site_fract_x
_atom_site_fract_y
_atom_site_fract_z
_atom_site_occupancy
Rb1 Rb 0.0000 0.0000 0.0000 1
Te1 Te 0.0000 0.1857 0.0000 1
Te2 Te 0.0000 0.5000 0.5000 1
Te3 Te 0.2377 0.1384 0.5000 1
Au1 Au 0.0000 0.2603 0.5000 1
```